Record 1
Diffraction record for Ba4Sr3Ca5. The powder diffraction line list is simulated, not measured: it uses DFT lattice parameters and positions (GGA-PBE) and Cu Ka.

Cell and atoms:
Unit cell a=18.5338 b=7.0153 c=11.4183 alpha=90.00 beta=119.91 gamma=90.00
Space group C2/m (No. 12)
One atom of each set of equivalent atoms:
1 Ba 0.0804 0.0000 0.4238 x4
2 Ba 0.1995 0.0000 0.8753 x4
3 Sr 0.0000 0.5000 0.0000 x2
4 Sr 0.2329 0.0000 0.2658 x4
5 Ca 0.0000 0.0000 0.0000 x2
6 Ca 0.0524 0.5000 0.7008 x4
7 Ca 0.1719 0.5000 0.3570 x4

Principal peaks in the range 2θ = 10–90°, in order of rising 2θ:
2θ/deg	I/Imax	hkl
24.80	313	1 1 2
24.97	266	4 0 -3
25.40	1000	0 2 0
25.85	180	3 1 1
26.84	431	3 1 -3
27.54	281	5 1 -2
27.64	535	5 1 -1
27.82	291	1 1 -3
35.91	205	4 2 -3
36.23	302	2 2 2
41.41	199	8 0 -4
46.14	193	5 3 -1

Record 2
Diffraction record for Ba5Sr3Ca2. The powder diffraction line list is simulated, not measured: it uses DFT lattice parameters and positions (GGA-PBE) and Cu Ka.

Cell and atoms:
Unit cell a=8.0089 b=8.0231 c=19.5192 alpha=91.55 beta=91.68 gamma=117.34
Space group P-1 (No. 2)
One atom of each set of equivalent atoms:
1 Ba 0.0449 0.2942 0.0529 x2
2 Ba 0.0550 0.8054 0.5557 x2
3 Ba 0.1485 0.8965 0.1545 x2
4 Ba 0.3540 0.6024 0.8449 x2
5 Ba 0.4454 0.6957 0.4453 x2
6 Sr 0.1357 0.3850 0.6504 x2
7 Sr 0.3646 0.1137 0.3487 x2
8 Sr 0.4544 0.2027 0.9484 x2
9 Ca 0.2362 0.4868 0.2506 x2
10 Ca 0.2646 0.0163 0.7519 x2

Principal peaks in the range 2θ = 10–90°, in order of rising 2θ:
2θ/deg	I/Imax	hkl
18.83	51	1 -1 3
26.04	516	2 -2 0
26.29	1000	2 0 -2
37.15	198	3 -1 3
37.89	92	1 1 -7
46.07	369	3 -3 5
46.16	51	2 0 8
46.55	202	1 -3 7
53.55	67	4 -4 0
54.09	95	4 0 -4
60.56	69	5 -3 3
73.27	90	4 -6 2

Please write out number 1 again, unchanged.
Diffraction record for Ba4Sr3Ca5. The powder diffraction line list is simulated, not measured: it uses DFT lattice parameters and positions (GGA-PBE) and Cu Ka.

Cell and atoms:
Unit cell a=18.5338 b=7.0153 c=11.4183 alpha=90.00 beta=119.91 gamma=90.00
Space group C2/m (No. 12)
One atom of each set of equivalent atoms:
1 Ba 0.0804 0.0000 0.4238 x4
2 Ba 0.1995 0.0000 0.8753 x4
3 Sr 0.0000 0.5000 0.0000 x2
4 Sr 0.2329 0.0000 0.2658 x4
5 Ca 0.0000 0.0000 0.0000 x2
6 Ca 0.0524 0.5000 0.7008 x4
7 Ca 0.1719 0.5000 0.3570 x4

Principal peaks in the range 2θ = 10–90°, in order of rising 2θ:
2θ/deg	I/Imax	hkl
24.80	313	1 1 2
24.97	266	4 0 -3
25.40	1000	0 2 0
25.85	180	3 1 1
26.84	431	3 1 -3
27.54	281	5 1 -2
27.64	535	5 1 -1
27.82	291	1 1 -3
35.91	205	4 2 -3
36.23	302	2 2 2
41.41	199	8 0 -4
46.14	193	5 3 -1

Copy entry 1 word for word.
Diffraction record for Ba4Sr3Ca5. The powder diffraction line list is simulated, not measured: it uses DFT lattice parameters and positions (GGA-PBE) and Cu Ka.

Cell and atoms:
Unit cell a=18.5338 b=7.0153 c=11.4183 alpha=90.00 beta=119.91 gamma=90.00
Space group C2/m (No. 12)
One atom of each set of equivalent atoms:
1 Ba 0.0804 0.0000 0.4238 x4
2 Ba 0.1995 0.0000 0.8753 x4
3 Sr 0.0000 0.5000 0.0000 x2
4 Sr 0.2329 0.0000 0.2658 x4
5 Ca 0.0000 0.0000 0.0000 x2
6 Ca 0.0524 0.5000 0.7008 x4
7 Ca 0.1719 0.5000 0.3570 x4

Principal peaks in the range 2θ = 10–90°, in order of rising 2θ:
2θ/deg	I/Imax	hkl
24.80	313	1 1 2
24.97	266	4 0 -3
25.40	1000	0 2 0
25.85	180	3 1 1
26.84	431	3 1 -3
27.54	281	5 1 -2
27.64	535	5 1 -1
27.82	291	1 1 -3
35.91	205	4 2 -3
36.23	302	2 2 2
41.41	199	8 0 -4
46.14	193	5 3 -1